# 1
HgI: theoretical X-ray powder pattern (Cu Ka), based on a PBE-relaxed structure.

The 12 most intense peaks (2θ = 10–90°), in order of rising 2θ:
- 18.15°, rel. 100
- 18.54°, rel. 71
- 24.66°, rel. 63
- 24.96°, rel. 89
- 25.78°, rel. 48
- 26.06°, rel. 97
- 28.14°, rel. 56
- 29.14°, rel. 41
- 29.88°, rel. 41
- 32.63°, rel. 43
- 32.82°, rel. 54
- 42.05°, rel. 66

Cell and atoms:
Cell: 6.632 8.463 11.974 Å, 90.00 90.00 90.00°
Fractional coordinates of all 16 atoms:
Hg  0.099  0.111  0.141
Hg  0.238  0.468  0.422
Hg  0.262  0.532  0.922
Hg  0.401  0.889  0.641
Hg  0.599  0.389  0.859
Hg  0.738  0.032  0.578
Hg  0.762  0.968  0.078
Hg  0.901  0.611  0.359
I  0.071  0.709  0.699
I  0.077  0.084  0.448
I  0.423  0.916  0.948
I  0.429  0.291  0.199
I  0.571  0.791  0.301
I  0.577  0.416  0.552
I  0.923  0.584  0.052
I  0.929  0.209  0.801



# 2
Pa3Ni2Ge: theoretical X-ray powder pattern (Cu Ka), based on a PBE-relaxed structure.

The 12 most intense peaks (2θ = 10–90°), in order of rising 2θ:
- 29.22°, rel. 100
- 34.69°, rel. 7
- 41.26°, rel. 44
- 42.32°, rel. 32
- 51.36°, rel. 20
- 54.98°, rel. 11
- 58.85°, rel. 15
- 60.59°, rel. 11
- 67.91°, rel. 16
- 75.95°, rel. 11
- 87.68°, rel. 10
- 88.82°, rel. 9

Cell and atoms:
Cell: 6.774 6.774 6.774 Å, 68.03 68.03 68.03°
Fractional coordinates of all 12 atoms:
Pa  0.063  0.750  0.437
Pa  0.250  0.563  0.937
Pa  0.437  0.063  0.750
Pa  0.563  0.937  0.250
Pa  0.750  0.437  0.063
Pa  0.937  0.250  0.563
Ni  0.164  0.164  0.164
Ni  0.336  0.336  0.336
Ni  0.664  0.664  0.664
Ni  0.836  0.836  0.836
Ge  0.000  0.000  0.000
Ge  0.500  0.500  0.500



# 3
Cs2PbI6Br: theoretical X-ray powder pattern (Cu Ka), based on a PBE-relaxed structure.

The 12 most intense peaks (2θ = 10–90°), in order of rising 2θ:
- 12.06°, rel. 17
- 13.40°, rel. 25
- 20.12°, rel. 23
- 24.25°, rel. 82
- 26.99°, rel. 100
- 30.14°, rel. 38
- 38.54°, rel. 37
- 40.90°, rel. 65
- 46.06°, rel. 24
- 49.69°, rel. 36
- 62.91°, rel. 15
- 71.33°, rel. 22

Cell and atoms:
Cell: 8.878 8.878 8.878 Å, 116.50 116.50 96.18°
Fractional coordinates of all 10 atoms:
Cs  0.250  0.750  0.500
Cs  0.750  0.250  0.500
Pb  0.000  0.000  0.000
I  0.232  0.232  0.464
I  0.232  0.768  0.000
I  0.266  0.266  0.000
I  0.734  0.734  0.000
I  0.768  0.232  0.000
I  0.768  0.768  0.536
Br  0.500  0.500  0.000



# 4
Dy4CdGa3: theoretical X-ray powder pattern (Cu Ka), based on a PBE-relaxed structure.

The 10 most intense peaks (2θ = 10–90°), in order of rising 2θ:
- 24.63°, rel. 12
- 27.59°, rel. 1
- 35.11°, rel. 100
- 43.35°, rel. 4
- 50.49°, rel. 18
- 56.96°, rel. 5
- 62.98°, rel. 36
- 74.20°, rel. 11
- 79.55°, rel. 2
- 84.81°, rel. 16

Cell and atoms:
Cell: 5.111 5.111 7.233 Å, 90.00 90.00 90.00°
Fractional coordinates of all 8 atoms:
Dy  0.000  0.500  0.243
Dy  0.000  0.500  0.757
Dy  0.500  0.000  0.243
Dy  0.500  0.000  0.757
Cd  0.000  0.000  0.500
Ga  0.000  0.000  0.000
Ga  0.500  0.500  0.000
Ga  0.500  0.500  0.500